# 1
Diffraction record for NdCuSiNi6. The powder XRD pattern is theoretical, not measured: it uses a cell relaxed with GGA-PBE and Cu Ka.
No peak broadening, texture or thermal motion is included.

Top 6 peaks for 5° ≤ 2θ ≤ 70°, by angle:
- hkl 2 1 1, 2θ = 32.4°, I 69
- hkl 2 2 0, 2θ = 36.7°, I 100
- hkl 1 2 3, 2θ = 37.3°, I 72
- hkl 2 1 3, 2θ = 41.0°, I 57
- hkl 0 2 4, 2θ = 41.6°, I 88
- hkl 0 4 0, 2θ = 44.5°, I 77

Structure:
```
data_NdCuSiNi6
_space_group_name_H-M_alt 'I m m a'
_space_group_IT_number 74
_space_group_name_Hall '-I 2b 2'
_cell_length_a 6.1393
_cell_length_b 8.1424
_cell_length_c 10.2542
_cell_angle_alpha 90.00
_cell_angle_beta 90.00
_cell_angle_gamma 90.00
loop_
_atom_site_label
_atom_site_type_symbol
_atom_site_fract_x
_atom_site_fract_y
_atom_site_fract_z
Nd1 Nd 0.0000 0.2500 0.2148
Cu1 Cu 0.2500 0.2500 0.7500
Si1 Si 0.0000 0.0000 0.0000
Ni1 Ni 0.0000 0.2500 0.4996
Ni2 Ni 0.0000 0.2500 0.9198
Ni3 Ni 0.1969 0.0104 0.6214
```



# 2
Diffraction record for NdCu2SiNi2. The powder XRD pattern is theoretical, not measured: it uses a cell relaxed with GGA-PBE and Cu Ka.
No peak broadening, texture or thermal motion is included.

Top 6 peaks for 5° ≤ 2θ ≤ 70°, by angle:
- hkl 1 0 1, 2θ = 26.3°, I 32
- hkl 1 1 0, 2θ = 29.7°, I 34
- hkl 1 1 1, 2θ = 33.9°, I 96
- hkl 1 0 2, 2θ = 38.5°, I 100
- hkl 2 0 0, 2θ = 42.6°, I 75
- hkl 2 1 2, 2θ = 58.7°, I 56

Structure:
```
data_NdCu2SiNi2
_space_group_name_H-M_alt 'P 4/m m m'
_space_group_IT_number 123
_space_group_name_Hall '-P 4 2'
_cell_length_a 4.2477
_cell_length_b 4.2477
_cell_length_c 5.6112
_cell_angle_alpha 90.00
_cell_angle_beta 90.00
_cell_angle_gamma 90.00
loop_
_atom_site_label
_atom_site_type_symbol
_atom_site_fract_x
_atom_site_fract_y
_atom_site_fract_z
Nd1 Nd 0.0000 0.0000 0.0000
Cu1 Cu 0.5000 0.5000 0.2400
Si1 Si 0.0000 0.0000 0.5000
Ni1 Ni 0.0000 0.5000 0.5000
```



# 3
Diffraction record for Nd2Cu3NiSn4. The powder XRD pattern is theoretical, not measured: it uses a cell relaxed with GGA-PBE and Cu Ka.
No peak broadening, texture or thermal motion is included.

Top 6 peaks for 5° ≤ 2θ ≤ 70°, by angle:
- hkl 1 0 3, 2θ = 32.4°, I 66
- hkl 1 1 2, 2θ = 33.0°, I 100
- hkl 2 0 0, 2θ = 40.3°, I 70
- hkl 2 1 3, 2θ = 52.6°, I 34
- hkl 2 2 0, 2θ = 58.3°, I 24
- hkl 3 1 2, 2θ = 68.7°, I 24

Structure:
```
data_Nd2Cu3NiSn4
_space_group_name_H-M_alt 'P -4 m 2'
_space_group_IT_number 115
_space_group_name_Hall 'P -4 -2'
_cell_length_a 4.4762
_cell_length_b 4.4762
_cell_length_c 10.5460
_cell_angle_alpha 90.00
_cell_angle_beta 90.00
_cell_angle_gamma 90.00
loop_
_atom_site_label
_atom_site_type_symbol
_atom_site_fract_x
_atom_site_fract_y
_atom_site_fract_z
Nd1 Nd 0.0000 0.5000 0.2355
Cu1 Cu 0.0000 0.0000 0.0000
Cu2 Cu 0.0000 0.5000 0.6380
Ni1 Ni 0.5000 0.5000 0.0000
Sn1 Sn 0.0000 0.0000 0.5000
Sn2 Sn 0.0000 0.5000 0.8788
Sn3 Sn 0.5000 0.5000 0.5000
```